Record 1
Theoretical powder diffraction line list of TbNp4O12 for Cu Kα (weighted mean of Kα1 and Kα2), from a crystal structure in Alexandria, relaxed with PBE.

```
data_TbNp4O12
_chemical_formula_sum 'Tb2 Np8 O24'
_cell_length_a 8.309
_cell_length_b 8.309
_cell_length_c 8.042
_cell_angle_alpha 90.00
_cell_angle_beta 90.00
_cell_angle_gamma 90.00
_space_group_name_H-M_alt 'I 4/m m m'
_space_group_IT_number 139
_space_group_name_Hall '-I 4 2'
loop_
_atom_site_label
_atom_site_type_symbol
_atom_site_fract_x
_atom_site_fract_y
_atom_site_fract_z
Tb1 Tb 0.000 0.000 0.000
Np1 Np 0.250 0.250 0.250
O1 O 0.000 0.233 0.184
O2 O 0.206 0.206 0.500
```

Main lines, low angle first (10 to 90 degrees two-theta):
d [Å], I_rel
4.155, 80.7
4.021, 34.2
2.938, 49.7
2.889, 100.0
2.372, 22.6
2.077, 28.9
1.687, 45.9
1.659, 24.6

---

Record 2
Theoretical powder diffraction line list of Tb2YNpO8 for Cu Kα (weighted mean of Kα1 and Kα2), from a crystal structure in Alexandria, relaxed with PBE.

```
data_Tb2YNpO8
_chemical_formula_sum 'Tb4 Y2 Np2 O16'
_cell_length_a 7.151
_cell_length_b 7.286
_cell_length_c 7.030
_cell_angle_alpha 90.00
_cell_angle_beta 90.00
_cell_angle_gamma 90.00
_space_group_name_H-M_alt 'C m m m'
_space_group_IT_number 65
_space_group_name_Hall '-C 2 2'
loop_
_atom_site_label
_atom_site_type_symbol
_atom_site_fract_x
_atom_site_fract_y
_atom_site_fract_z
Tb1 Tb 0.000 0.000 0.241
Y1 Y 0.000 0.500 0.000
Np1 Np 0.000 0.500 0.500
O1 O 0.000 0.318 0.278
O2 O 0.192 0.000 0.000
O3 O 0.219 0.000 0.500
```

Main lines, low angle first (10 to 90 degrees two-theta):
d [Å], I_rel
4.130, 19.1
3.643, 57.0
3.576, 52.3
2.895, 100.0
2.552, 29.4
1.924, 40.5
1.904, 37.2
1.531, 22.3